Simulated XRD peak list of NaUTcN3 for Cu Kα (weighted mean of Kα1 and Kα2), from DFT lattice parameters and positions (PBE).

Most intense lines, 15 to 90 degrees two-theta, in order of rising 2θ:
d [Å]  Rel. int.  (hkl)
3.274  323  1 0 2
3.087  546  2 0 -2
3.056  435  1 1 0
2.899  479  2 0 1
2.780  656  1 1 1
2.687  939  0 1 2
2.438  1000  2 1 -1
2.406  443  2 1 0
2.236  476  1 1 -3
1.884  387  3 1 -2

Crystal structure
Lattice parameters (Å, degrees): 7.002 3.427 8.976 90.00 105.28 90.00
Space group P2_1/m (No. 11)
Unique sites:
Na 0.178 0.250 0.151 [2 per cell]
U 0.329 0.750 0.851 [2 per cell]
Tc 0.017 0.250 0.612 [2 per cell]
N 0.126 0.250 0.849 [2 per cell]
N 0.173 0.750 0.600 [2 per cell]
N 0.458 0.750 0.108 [2 per cell]